Structure and computed powder X-ray diffraction pattern of Li2Mn2SbO6 (DFT lattice parameters and positions (GGA+U); Cu Kα X-rays).
Lines closer than 0.1° are merged.

Structure:
```
22
Lattice="2.7779 -4.5800 0.0000 2.7779 4.5800 0.0000 0.0000 0.0000 10.2930" Properties=species:S:1:pos:R:3 pbc="T T T"
Li 0.8277 0.0000 0.0000
Li 1.9244 0.0000 5.1465
Li 3.6314 0.0000 0.0000
Li 4.7281 0.0000 5.1465
Mn 2.7779 3.7393 2.5732
Mn 2.7779 0.7186 2.5732
Mn 2.7779 -0.7186 7.7197
Mn 2.7779 -3.7393 7.7197
Sb 2.7779 2.3814 7.7197
Sb 2.7779 -2.3814 2.5732
O 0.7248 0.7643 3.7896
O 1.7700 2.1155 1.6281
O 0.7248 -0.7643 6.5034
O 2.0935 0.7598 8.8317
O 3.7858 2.1155 3.5184
O 2.0935 -0.7598 1.4613
O 3.4623 0.7598 6.6078
O 1.7700 -2.1155 8.6649
O 3.4623 -0.7598 3.6852
O 4.8310 0.7643 1.3569
O 3.7858 -2.1155 6.7745
O 4.8310 -0.7643 8.9361
```

Main lines, in order of rising 2θ (2θ from 10° to 80°):
d [Å]  I_rel
5.146  100
4.313  20
2.779  18
2.590  38
2.445  24
2.110  39
1.632  20
1.565  18